Structure and simulated XRD peak list of Cu3Ag7 (DFT lattice parameters and positions (GGA-PBE); Cu Kα (weighted mean of Kα1 and Kα2)).

Structural model:
Unit cell a=4.927 b=4.951 c=7.490 alpha=108.37 beta=102.67 gamma=100.17
Space group P1 (No. 1)
Symmetry-distinct sites (fractional):
Cu 0.000 0.000 0.000 [1 per cell]
Cu 0.200 0.392 0.392 [1 per cell]
Cu 0.490 0.992 0.492 [1 per cell]
Ag 0.094 0.193 0.689 [1 per cell]
Ag 0.295 0.590 0.102 [1 per cell]
Ag 0.395 0.796 0.790 [1 per cell]
Ag 0.595 0.190 0.198 [1 per cell]
Ag 0.702 0.393 0.893 [1 per cell]
Ag 0.784 0.592 0.589 [1 per cell]
Ag 0.911 0.807 0.297 [1 per cell]

Most intense lines, 10° ≤ 2θ ≤ 80°, by angle:
2theta  I_rel  hkl
38.69  1000  2 -1 0
38.80  993  1 0 -3
44.55  330  -1 2 1
45.28  623  2 1 -2
65.38  292  2 -3 2
65.47  99  1 3 -1
65.82  96  3 0 1
78.14  173  -3 3 1
79.09  166  4 0 -2
79.32  218  3 1 -5

Structure and simulated XRD peak list of Cu3Ag7 (DFT lattice parameters and positions (GGA-PBE); Cu Kα (weighted mean of Kα1 and Kα2)).

Structural model:
Unit cell a=14.496 b=4.028 c=5.712 alpha=90.00 beta=102.08 gamma=90.00
Space group C2/m (No. 12)
Symmetry-distinct sites (fractional):
Cu 0.000 0.000 0.000 [2 per cell]
Cu 0.203 0.000 0.596 [4 per cell]
Ag 0.000 0.000 0.500 [2 per cell]
Ag 0.099 0.500 0.801 [4 per cell]
Ag 0.103 0.500 0.305 [4 per cell]
Ag 0.201 0.000 0.108 [4 per cell]

Most intense lines, 10° ≤ 2θ ≤ 80°, by angle:
2theta  I_rel  hkl
38.65  1000  1 1 -2
38.84  985  5 1 0
44.76  324  6 0 -2
45.01  319  0 2 0
45.36  309  4 0 2
65.35  293  6 2 -2
65.84  285  4 2 2
78.27  114  7 1 -4
78.75  113  1 3 -2
78.88  112  5 3 0

Structure and simulated XRD peak list of Cu3Ag2 (DFT lattice parameters and positions (GGA-PBE); Cu Kα (weighted mean of Kα1 and Kα2)).

Structural model:
Unit cell a=4.670 b=13.767 c=4.680 alpha=90.00 beta=107.97 gamma=90.00
Space group C2 (No. 5)
Symmetry-distinct sites (fractional):
Cu 0.000 0.000 0.000 [2 per cell]
Cu 0.000 0.092 0.500 [2 per cell]
Cu 0.000 0.301 0.500 [2 per cell]
Cu 0.000 0.401 0.000 [2 per cell]
Cu 0.000 0.590 0.000 [2 per cell]
Cu 0.000 0.902 0.500 [2 per cell]
Ag 0.000 0.194 0.000 [2 per cell]
Ag 0.000 0.494 0.500 [2 per cell]
Ag 0.000 0.698 0.500 [2 per cell]
Ag 0.000 0.808 0.000 [2 per cell]

Most intense lines, 10° ≤ 2θ ≤ 80°, by angle:
2theta  I_rel  hkl
24.41  26  1 1 -1
27.95  18  1 3 0
30.63  20  1 3 -1
40.55  1000  2 0 0
46.69  322  1 5 1
48.12  151  2 0 -2
68.11  46  0 10 0
68.23  49  2 0 2
69.24  92  1 5 -3
69.36  91  3 5 -1

Structure and simulated XRD peak list of Cu3Ag5 (DFT lattice parameters and positions (GGA-PBE); Cu Kα (weighted mean of Kα1 and Kα2)).

Structural model:
Unit cell a=4.868 b=4.870 c=5.672 alpha=106.99 beta=90.08 gamma=99.66
Space group P1 (No. 1)
Symmetry-distinct sites (fractional):
Cu 0.000 0.000 0.000 [1 per cell]
Cu 0.240 0.509 0.879 [1 per cell]
Cu 0.748 0.518 0.644 [1 per cell]
Ag 0.244 0.501 0.384 [1 per cell]
Ag 0.491 0.006 0.763 [1 per cell]
Ag 0.495 0.007 0.253 [1 per cell]
Ag 0.757 0.511 0.120 [1 per cell]
Ag 0.988 0.015 0.520 [1 per cell]

Most intense lines, 10° ≤ 2θ ≤ 80°, by angle:
2theta  I_rel  hkl
39.03  1000  1 0 2
39.27  988  0 2 0
45.43  634  1 -2 2
45.71  314  2 1 0
65.87  96  0 1 -4
66.38  284  3 -1 2
66.53  192  1 2 2
79.41  109  0 3 -4
79.50  110  2 -2 4
79.91  219  3 -3 2

Structure and simulated XRD peak list of Cu5Ag3 (DFT lattice parameters and positions (GGA-PBE); Cu Kα (weighted mean of Kα1 and Kα2)).

Structural model:
Unit cell a=2.749 b=3.717 c=11.027 alpha=90.00 beta=90.00 gamma=90.00
Space group Pmmm (No. 47)
Symmetry-distinct sites (fractional):
Cu 0.000 0.000 0.000 [1 per cell]
Cu 0.000 0.000 0.258 [2 per cell]
Cu 0.500 0.500 0.371 [2 per cell]
Ag 0.000 0.000 0.500 [1 per cell]
Ag 0.500 0.500 0.130 [2 per cell]

Most intense lines, 10° ≤ 2θ ≤ 80°, by angle:
2theta  I_rel  hkl
24.21  18  0 0 3
25.28  46  0 1 1
33.60  22  1 0 1
40.79  1000  1 1 0
46.66  331  1 0 4
48.03  11  1 1 3
49.01  144  0 2 0
68.02  47  0 0 8
68.23  50  2 0 0
69.99  181  1 2 4

Structure and simulated XRD peak list of Cu3Ag7 (DFT lattice parameters and positions (GGA-PBE); Cu Kα (weighted mean of Kα1 and Kα2)).

Structural model:
Unit cell a=2.889 b=2.889 c=19.325 alpha=90.00 beta=90.00 gamma=90.00
Space group P4/mmm (No. 123)
Symmetry-distinct sites (fractional):
Cu 0.000 0.000 0.000 [1 per cell]
Cu 0.500 0.500 0.298 [2 per cell]
Ag 0.000 0.000 0.204 [2 per cell]
Ag 0.000 0.000 0.390 [2 per cell]
Ag 0.500 0.500 0.094 [2 per cell]
Ag 0.500 0.500 0.500 [1 per cell]

Most intense lines, 10° ≤ 2θ ≤ 80°, by angle:
2theta  I_rel  hkl
32.38  78  0 0 7
38.92  1000  1 0 5
44.35  352  1 1 0
47.02  128  0 0 10
56.00  26  1 1 7
64.52  108  2 0 0
66.47  30  1 0 12
66.62  169  1 1 10
74.07  19  2 0 7
77.99  237  2 1 5